This entry pairs a crystal structure of Tb3HoPb4 with its computed X-ray powder pattern. Radiation: Cu Kα (weighted mean of Kα1 and Kα2). Structure: a DFT-relaxed cell (PBE, Alexandria).

Atomic structure:
a = 11.157 Å, b = 6.421 Å, c = 6.423 Å
α = 90.00°, β = 90.00°, γ = 90.00°
Element x y z (fractional)
Tb 0.000 0.000 0.000
Tb 0.250 0.250 0.250
Tb 0.250 0.750 0.750
Tb 0.500 0.000 0.500
Tb 0.750 0.250 0.250
Tb 0.750 0.750 0.750
Ho 0.000 0.501 0.500
Ho 0.500 0.499 0.000
Pb 0.000 0.000 0.500
Pb 0.000 0.500 0.000
Pb 0.250 0.250 0.750
Pb 0.250 0.750 0.250
Pb 0.500 0.000 0.000
Pb 0.500 0.500 0.500
Pb 0.750 0.250 0.750
Pb 0.750 0.750 0.250

Top 10 peaks for 15° ≤ 2θ ≤ 90°, in order of falling intensity:
Position (°2θ)  I_rel
32.15  100
67.32  29
39.70  23
51.93  21
57.25  16
85.42  11
57.39  8
80.89  6
85.54  3
67.11  2